# 1
Calculated PXRD pattern of YPt4 for copper Kα, from a structure optimized by DFT (PBE).

Structure:
Unit cell a=7.2053 b=7.2053 c=3.4840 alpha=90.00 beta=90.00 gamma=90.00
Atoms (fractional coordinates):
Y1 0.0000 0.0000 0.0000
Y2 0.5000 0.5000 0.0000
Pt1 0.1327 0.3673 0.0000
Pt2 0.1668 0.6668 0.5000
Pt3 0.3332 0.1668 0.5000
Pt4 0.3673 0.8673 0.0000
Pt5 0.6327 0.1327 0.0000
Pt6 0.6668 0.8332 0.5000
Pt7 0.8332 0.3332 0.5000
Pt8 0.8673 0.6327 0.0000

Peak list (6 most intense, 10° ≤ 2θ ≤ 80°, low angle first)
- d 5.095, 2θ = 17.41°, intensity 16
- d 2.366, 2θ = 38.04°, intensity 100
- d 2.279, 2θ = 39.55°, intensity 33
- d 1.742, 2θ = 52.53°, intensity 11
- d 1.384, 2θ = 67.71°, intensity 14
- d 1.249, 2θ = 76.23°, intensity 16

***

# 2
Calculated PXRD pattern of Y5Pt4 for copper Kα, from a structure optimized by DFT (PBE).

Structure:
Unit cell a=7.5015 b=14.6400 c=7.5809 alpha=90.00 beta=90.00 gamma=90.00
Atoms (fractional coordinates):
Y1 0.0015 0.0927 0.1800
Y2 0.0015 0.4073 0.1800
Y3 0.1569 0.1225 0.6668
Y4 0.1569 0.3775 0.6668
Y5 0.1807 0.7500 0.5118
Y6 0.3193 0.2500 0.0118
Y7 0.3431 0.6225 0.1668
Y8 0.3431 0.8775 0.1668
Y9 0.4985 0.5927 0.6800
Y10 0.4985 0.9073 0.6800
Y11 0.5015 0.0927 0.3200
Y12 0.5015 0.4073 0.3200
Y13 0.6569 0.1225 0.8332
Y14 0.6569 0.3775 0.8332
Y15 0.6807 0.7500 0.9882
Y16 0.8193 0.2500 0.4882
Y17 0.8431 0.6225 0.3332
Y18 0.8431 0.8775 0.3332
Y19 0.9985 0.5927 0.8200
Y20 0.9985 0.9073 0.8200
Pt1 0.0464 0.7500 0.1112
Pt2 0.1836 0.5413 0.4667
Pt3 0.1836 0.9587 0.4667
Pt4 0.1851 0.2500 0.3581
Pt5 0.3149 0.7500 0.8581
Pt6 0.3164 0.0413 0.9667
Pt7 0.3164 0.4587 0.9667
Pt8 0.4536 0.2500 0.6112
Pt9 0.5464 0.7500 0.3888
Pt10 0.6836 0.5413 0.0333
Pt11 0.6836 0.9587 0.0333
Pt12 0.6851 0.2500 0.1419
Pt13 0.8149 0.7500 0.6419
Pt14 0.8164 0.0413 0.5333
Pt15 0.8164 0.4587 0.5333
Pt16 0.9536 0.2500 0.8888

Peak list (6 most intense, 10° ≤ 2θ ≤ 80°, low angle first)
- d 3.600, 2θ = 24.73°, intensity 48
- d 2.780, 2θ = 32.20°, intensity 100
- d 2.768, 2θ = 32.34°, intensity 79
- d 2.476, 2θ = 36.28°, intensity 33
- d 2.375, 2θ = 37.89°, intensity 84
- d 2.363, 2θ = 38.08°, intensity 48

***

# 3
Calculated PXRD pattern of Y7Pt3 for copper Kα, from a structure optimized by DFT (PBE).

Structure:
Unit cell a=9.8981 b=9.8981 c=6.2877 alpha=90.00 beta=90.00 gamma=120.00
Atoms (fractional coordinates):
Y1 0.0786 0.5393 0.0000
Y2 0.1267 0.2534 0.6936
Y3 0.1267 0.8733 0.6936
Y4 0.2534 0.1267 0.1936
Y5 0.3333 0.6667 0.4975
Y6 0.4607 0.5393 0.0000
Y7 0.4607 0.9214 0.0000
Y8 0.5393 0.0786 0.5000
Y9 0.5393 0.4607 0.5000
Y10 0.6667 0.3333 0.9975
Y11 0.7466 0.8733 0.6936
Y12 0.8733 0.1267 0.1936
Y13 0.8733 0.7466 0.1936
Y14 0.9214 0.4607 0.5000
Pt1 0.1898 0.3796 0.2616
Pt2 0.1898 0.8102 0.2616
Pt3 0.3796 0.1898 0.7616
Pt4 0.6204 0.8102 0.2616
Pt5 0.8102 0.1898 0.7616
Pt6 0.8102 0.6204 0.7616

Peak list (6 most intense, 10° ≤ 2θ ≤ 80°, low angle first)
- d 5.070, 2θ = 17.49°, intensity 65
- d 3.541, 2θ = 25.15°, intensity 60
- d 2.880, 2θ = 31.05°, intensity 71
- d 2.601, 2θ = 34.48°, intensity 100
- d 2.535, 2θ = 35.41°, intensity 82
- d 2.475, 2θ = 36.30°, intensity 83

***

# 4
Calculated PXRD pattern of ZnPt10 for copper Kα, from a structure optimized by DFT (PBE).

Structure:
Unit cell a=4.7895 b=2.7916 c=37.9442 alpha=90.00 beta=90.09 gamma=90.00
Atoms (fractional coordinates):
Zn1 0.0821 0.2500 0.3057
Zn2 0.9179 0.7500 0.6943
Pt1 0.0801 0.2500 0.7540
Pt2 0.0834 0.2500 0.1226
Pt3 0.0832 0.2500 0.9387
Pt4 0.2490 0.7500 0.1843
Pt5 0.2501 0.7500 0.0000
Pt6 0.2504 0.7500 0.8164
Pt7 0.4164 0.2500 0.2459
Pt8 0.4168 0.2500 0.0614
Pt9 0.4171 0.2500 0.6944
Pt10 0.4170 0.2500 0.8774
Pt11 0.5830 0.7500 0.1226
Pt12 0.5829 0.7500 0.3056
Pt13 0.5832 0.7500 0.9386
Pt14 0.5836 0.7500 0.7541
Pt15 0.7499 0.2500 0.0000
Pt16 0.7496 0.2500 0.1836
Pt17 0.7510 0.2500 0.8157
Pt18 0.9168 0.7500 0.0613
Pt19 0.9166 0.7500 0.8774
Pt20 0.9199 0.7500 0.2460

Peak list (6 most intense, 10° ≤ 2θ ≤ 80°, low angle first)
- d 2.372, 2θ = 37.94°, intensity 63
- d 2.298, 2θ = 39.20°, intensity 100
- d 2.285, 2θ = 39.44°, intensity 49
- d 2.253, 2θ = 40.02°, intensity 79
- d 1.977, 2θ = 45.89°, intensity 82
- d 1.966, 2θ = 46.18°, intensity 40

***

# 5
Calculated PXRD pattern of ZnPt10 for copper Kα, from a structure optimized by DFT (PBE).

Structure:
Unit cell a=4.8013 b=4.8013 c=34.0039 alpha=90.83 beta=90.83 gamma=47.73
Atoms (fractional coordinates):
Zn1 0.1540 0.1540 0.2753
Zn2 0.8460 0.8460 0.7247
Pt1 0.0497 0.0497 0.8254
Pt2 0.0511 0.0511 0.0942
Pt3 0.1501 0.1501 0.0136
Pt4 0.1538 0.1538 0.7451
Pt5 0.2494 0.2494 0.2015
Pt6 0.2492 0.2492 0.9329
Pt7 0.3498 0.3498 0.1206
Pt8 0.3507 0.3507 0.8516
Pt9 0.4504 0.4504 0.0402
Pt10 0.4552 0.4552 0.7679
Pt11 0.5448 0.5448 0.2321
Pt12 0.5496 0.5496 0.9598
Pt13 0.6493 0.6493 0.1484
Pt14 0.6502 0.6502 0.8794
Pt15 0.7508 0.7508 0.0671
Pt16 0.7506 0.7506 0.7985
Pt17 0.8462 0.8462 0.2549
Pt18 0.8499 0.8499 0.9864
Pt19 0.9489 0.9489 0.9058
Pt20 0.9503 0.9503 0.1746

Peak list (6 most intense, 10° ≤ 2θ ≤ 80°, low angle first)
- d 2.339, 2θ = 38.48°, intensity 100
- d 2.284, 2θ = 39.46°, intensity 53
- d 2.247, 2θ = 40.13°, intensity 85
- d 2.222, 2θ = 40.60°, intensity 39
- d 2.001, 2θ = 45.32°, intensity 32
- d 1.941, 2θ = 46.79°, intensity 48

***

# 6
Calculated PXRD pattern of Zn12Pt7 for copper Kα, from a structure optimized by DFT (PBE).

Structure:
Unit cell a=7.0166 b=29.0934 c=2.7945 alpha=90.00 beta=90.00 gamma=90.00
Atoms (fractional coordinates):
Zn1 0.1255 0.0714 0.0000
Zn2 0.1281 0.6432 0.0000
Zn3 0.1371 0.2164 0.0000
Zn4 0.1830 0.4922 0.0000
Zn5 0.2322 0.8020 0.0000
Zn6 0.2496 0.4001 0.0000
Zn7 0.2504 0.9001 0.0000
Zn8 0.2678 0.3020 0.0000
Zn9 0.3170 0.9922 0.0000
Zn10 0.3629 0.7164 0.0000
Zn11 0.3719 0.1432 0.0000
Zn12 0.3745 0.5714 0.0000
Zn13 0.6255 0.4286 0.0000
Zn14 0.6281 0.8568 0.0000
Zn15 0.6371 0.2836 0.0000
Zn16 0.6830 0.0078 0.0000
Zn17 0.7322 0.6980 0.0000
Zn18 0.7496 0.0999 0.0000
Zn19 0.7504 0.5999 0.0000
Zn20 0.7678 0.1980 0.0000
Zn21 0.8170 0.5078 0.0000
Zn22 0.8629 0.7836 0.0000
Zn23 0.8719 0.3568 0.0000
Zn24 0.8745 0.9286 0.0000
Pt1 0.0000 0.0000 0.5000
Pt2 0.0075 0.1443 0.5000
Pt3 0.0364 0.5673 0.5000
Pt4 0.0410 0.7188 0.5000
Pt5 0.4590 0.2188 0.5000
Pt6 0.4636 0.0673 0.5000
Pt7 0.4925 0.6443 0.5000
Pt8 0.5000 0.5000 0.5000
Pt9 0.5075 0.3557 0.5000
Pt10 0.5364 0.9327 0.5000
Pt11 0.5410 0.7812 0.5000
Pt12 0.9590 0.2812 0.5000
Pt13 0.9636 0.4327 0.5000
Pt14 0.9925 0.8557 0.5000

Peak list (6 most intense, 10° ≤ 2θ ≤ 80°, low angle first)
- d 3.576, 2θ = 24.90°, intensity 58
- d 3.508, 2θ = 25.39°, intensity 22
- d 2.202, 2θ = 40.99°, intensity 100
- d 2.186, 2θ = 41.30°, intensity 48
- d 2.078, 2θ = 43.55°, intensity 23
- d 2.038, 2θ = 44.45°, intensity 38

***

# 7
Calculated PXRD pattern of Zr4Pt3 for copper Kα, from a structure optimized by DFT (PBE).

Structure:
Unit cell a=8.0252 b=8.0252 c=4.8215 alpha=90.00 beta=90.00 gamma=120.00
Atoms (fractional coordinates):
Zr1 0.0129 0.7636 0.2500
Zr2 0.2364 0.2493 0.2500
Zr3 0.2493 0.0129 0.7500
Zr4 0.3333 0.6667 0.2500
Zr5 0.6667 0.3333 0.7500
Zr6 0.7507 0.9871 0.2500
Zr7 0.7636 0.7507 0.7500
Zr8 0.9871 0.2364 0.7500
Pt1 0.0801 0.6208 0.7500
Pt2 0.3792 0.4593 0.7500
Pt3 0.4593 0.0801 0.2500
Pt4 0.5407 0.9199 0.7500
Pt5 0.6208 0.5407 0.2500
Pt6 0.9199 0.3792 0.2500

Peak list (6 most intense, 10° ≤ 2θ ≤ 80°, low angle first)
- d 2.627, 2θ = 34.13°, intensity 25
- d 2.411, 2θ = 37.30°, intensity 28
- d 2.307, 2θ = 39.05°, intensity 100
- d 1.776, 2θ = 51.45°, intensity 16
- d 1.371, 2θ = 68.43°, intensity 19
- d 1.284, 2θ = 73.82°, intensity 16

***

# 8
Calculated PXRD pattern of Zr9Pt11 for copper Kα, from a structure optimized by DFT (PBE).

Structure:
Unit cell a=8.1301 b=8.1301 c=8.1301 alpha=100.25 beta=100.25 gamma=130.11
Atoms (fractional coordinates):
Zr1 0.0000 0.0000 0.0000
Zr2 0.0958 0.3083 0.4041
Zr3 0.2463 0.5827 0.8291
Zr4 0.3083 0.9042 0.2125
Zr5 0.4173 0.2463 0.6636
Zr6 0.5827 0.7537 0.3364
Zr7 0.6917 0.0958 0.7875
Zr8 0.7537 0.4173 0.1709
Zr9 0.9042 0.6917 0.5959
Pt1 0.0171 0.9043 0.3401
Pt2 0.0957 0.4358 0.1128
Pt3 0.2500 0.7500 0.5000
Pt4 0.3230 0.9829 0.8872
Pt5 0.4358 0.3230 0.3401
Pt6 0.5000 0.5000 0.0000
Pt7 0.5642 0.6770 0.6599
Pt8 0.6770 0.0171 0.1128
Pt9 0.7500 0.2500 0.5000
Pt10 0.9043 0.5642 0.8872
Pt11 0.9829 0.0957 0.6599

Peak list (6 most intense, 10° ≤ 2θ ≤ 80°, low angle first)
- d 3.297, 2θ = 27.05°, intensity 14
- d 2.376, 2θ = 37.86°, intensity 100
- d 2.331, 2θ = 38.62°, intensity 51
- d 1.648, 2θ = 55.77°, intensity 11
- d 1.381, 2θ = 67.86°, intensity 12
- d 1.354, 2θ = 69.39°, intensity 18

***

# 9
Calculated PXRD pattern of Pu for copper Kα, from a structure optimized by DFT (PBE).

Structure:
Unit cell a=3.7685 b=3.7685 c=3.7685 alpha=90.00 beta=90.00 gamma=90.00
Atoms (fractional coordinates):
Pu1 0.0000 0.0000 0.0000
Pu2 0.5000 0.5000 0.5000

Peak list (4 most intense, 10° ≤ 2θ ≤ 80°, low angle first)
- d 2.665, 2θ = 33.63°, intensity 100
- d 1.884, 2θ = 48.30°, intensity 19
- d 1.538, 2θ = 60.14°, intensity 39
- d 1.332, 2θ = 70.71°, intensity 12

***

# 10
Calculated PXRD pattern of Pu for copper Kα, from a structure optimized by DFT (PBE).

Structure:
Unit cell a=4.2320 b=9.3372 c=3.7806 alpha=90.00 beta=90.00 gamma=90.00
Atoms (fractional coordinates):
Pu1 0.0000 0.1206 0.1055
Pu2 0.0000 0.3794 0.6055
Pu3 0.0000 0.6206 0.3945
Pu4 0.0000 0.8794 0.8945
Pu5 0.5000 0.1206 0.3945
Pu6 0.5000 0.3794 0.8945
Pu7 0.5000 0.6206 0.1055
Pu8 0.5000 0.8794 0.6055

Peak list (6 most intense, 10° ≤ 2θ ≤ 80°, low angle first)
- d 2.938, 2θ = 30.42°, intensity 72
- d 2.699, 2θ = 33.19°, intensity 100
- d 2.334, 2θ = 38.57°, intensity 51
- d 2.116, 2θ = 42.73°, intensity 39
- d 2.090, 2θ = 43.30°, intensity 39
- d 1.697, 2θ = 54.03°, intensity 35

***

# 11
Calculated PXRD pattern of PuS2 for copper Kα, from a structure optimized by DFT (PBE).

Structure:
Unit cell a=4.0226 b=6.9514 c=11.8039 alpha=90.00 beta=90.00 gamma=90.00
Atoms (fractional coordinates):
Pu1 0.0000 0.0288 0.0000
Pu2 0.0000 0.4700 0.4930
Pu3 0.5000 0.5300 0.9930
Pu4 0.5000 0.9712 0.5000
S1 0.0000 0.1415 0.6108
S2 0.0000 0.3676 0.1076
S3 0.0000 0.7003 0.8827
S4 0.0000 0.8086 0.3860
S5 0.5000 0.1914 0.8860
S6 0.5000 0.2997 0.3827
S7 0.5000 0.6324 0.6076
S8 0.5000 0.8585 0.1108

Peak list (6 most intense, 10° ≤ 2θ ≤ 80°, low angle first)
- d 5.902, 2θ = 15.01°, intensity 100
- d 3.339, 2θ = 26.70°, intensity 79
- d 2.996, 2θ = 29.83°, intensity 37
- d 2.607, 2θ = 34.40°, intensity 61
- d 1.979, 2θ = 45.84°, intensity 24
- d 1.954, 2θ = 46.48°, intensity 29

***

Number 1 is which compound?
YPt4